Starting from DFT lattice parameters and positions (GGA-PBE), the PXRD pattern of TlPb2Br2 was simulated for Cu Ka.

Peak list (8 most intense, 5 to 70 degrees two-theta, by angle)
2θ (°), I/Imax, hkl
16.8, 77, 0 0 1
24.1, 56, 2 1 0
27.4, 35, 2 0 1
29.5, 100, 2 1 1
33.9, 44, 0 0 2
34.3, 54, 3 1 0
38.4, 77, 3 1 1
49.0, 41, 3 1 2

Cell: 8.261 8.261 5.289 Å, 90.00 90.00 90.00°
Space group P4/mbm (No. 127)
One atom of each set of equivalent atoms:
1 Tl 0.000 0.000 0.000
2 Pb 0.145 0.355 0.000
3 Br 0.236 0.736 0.500